(1)
Calculated X-ray powder pattern
Compound: Ac2PuWN5
Radiation: Cu Ka
Structure: the PBE geometry in Alexandria
Kinematic intensities with the Lorentz-polarization factor, no thermal factor.

Most intense lines, 10° ≤ 2θ ≤ 90°, low angle first:
2θ = 26.20°, rel. 36
2θ = 27.03°, rel. 94
2θ = 29.70°, rel. 73
2θ = 30.07°, rel. 67
2θ = 31.02°, rel. 100
2θ = 32.07°, rel. 63
2θ = 35.15°, rel. 100
2θ = 38.68°, rel. 34
2θ = 50.38°, rel. 34
2θ = 52.34°, rel. 30

Structure:
```
Ac2PuWN5
1.0
1.8114 -7.1415 0.0000
1.8114 7.1415 0.0000
0.0000 0.0000 11.1584
Ac Pu W N
4 2 2 10
Cartesian
1.8114 5.6429 5.5792 Ac
1.8114 4.9559 1.2937 Ac
1.8114 -4.9559 6.8729 Ac
1.8114 -5.6429 0.0000 Ac
1.8114 4.1884 9.2235 Pu
1.8114 -4.1884 3.6443 Pu
1.8114 0.2647 2.9901 W
1.8114 -0.2647 8.5693 W
1.8114 6.5387 9.3608 N
1.8114 3.1509 5.1639 N
1.8114 2.4485 2.2954 N
1.8114 1.6619 9.1441 N
1.8114 0.1864 6.7629 N
1.8114 -0.1864 1.1837 N
1.8114 -1.6619 3.5648 N
1.8114 -2.4485 7.8746 N
1.8114 -3.1509 10.7431 N
1.8114 -6.5387 3.7816 N
```



(2)
Calculated X-ray powder pattern
Compound: RbAcReN3
Radiation: Cu Ka
Structure: the PBE geometry in Alexandria
Kinematic intensities with the Lorentz-polarization factor, no thermal factor.

Most intense lines, 10° ≤ 2θ ≤ 90°, low angle first:
2θ = 10.37°, rel. 75
2θ = 27.66°, rel. 49
2θ = 28.28°, rel. 54
2θ = 30.27°, rel. 83
2θ = 30.58°, rel. 100
2θ = 39.47°, rel. 22
2θ = 40.47°, rel. 17
2θ = 46.94°, rel. 18
2θ = 51.12°, rel. 19
2θ = 55.71°, rel. 17

Structure:
```
RbAcReN3
1.0
7.1578 -1.9358 0.0000
7.1578 1.9358 0.0000
-2.5913 0.0000 8.5341
Rb Ac Re N
2 2 2 6
Cartesian
1.8474 0.0000 0.5098 Rb
9.8770 0.0000 8.0243 Rb
0.7208 0.0000 4.9987 Ac
11.0035 0.0000 3.5354 Ac
5.2071 0.0000 6.0288 Re
6.5172 0.0000 2.5053 Re
-0.6931 0.0000 2.8193 N
3.3597 0.0000 5.3334 N
4.7462 0.0000 1.8648 N
6.9781 0.0000 6.6693 N
8.3647 0.0000 3.2007 N
12.4175 0.0000 5.7148 N
```



(3)
Calculated X-ray powder pattern
Compound: RbAcVN3
Radiation: Cu Ka
Structure: the PBE geometry in Alexandria
Kinematic intensities with the Lorentz-polarization factor, no thermal factor.

Most intense lines, 10° ≤ 2θ ≤ 90°, low angle first:
2θ = 10.96°, rel. 85
2θ = 23.46°, rel. 24
2θ = 25.18°, rel. 23
2θ = 25.82°, rel. 24
2θ = 28.50°, rel. 46
2θ = 29.11°, rel. 46
2θ = 29.86°, rel. 94
2θ = 31.13°, rel. 100
2θ = 39.16°, rel. 24
2θ = 41.17°, rel. 24

Structure:
```
RbAcVN3
1.0
7.1715 -1.9715 0.0000
7.1715 1.9715 0.0000
-2.2865 0.0000 8.0727
Rb Ac V N
2 2 2 6
Cartesian
1.7893 0.0000 0.5127 Rb
10.2671 0.0000 7.5600 Rb
0.9081 0.0000 4.7897 Ac
11.1483 0.0000 3.2831 Ac
5.4835 0.0000 5.4994 V
6.5730 0.0000 2.5734 V
-0.5853 0.0000 2.6585 N
3.5948 0.0000 5.0996 N
4.9258 0.0000 1.7721 N
7.1306 0.0000 6.3006 N
8.4617 0.0000 2.9731 N
12.6417 0.0000 5.4142 N
```